1.
# Tb7Pm6
Simulated X-ray powder pattern, Cu Kα. Input: a cell relaxed with PBE.
Peak positions follow from Bragg's law for the DFT cell and can differ from measured ones.

Peak list (10 most intense, 2θ from 5° to 70°, in order of rising 2θ)
two_theta, I (rel.)
26.85, 43
29.85, 39
30.60, 28
30.98, 100
31.21, 50
32.11, 56
33.69, 57
36.01, 32
50.84, 32
55.33, 43

Structure:
```
data_Tb7Pm6
_chemical_formula_sum 'Tb7 Pm6'
_space_group_name_H-M_alt 'P 1'
_space_group_IT_number 1
_cell_length_a 12.2986
_cell_length_b 12.2986
_cell_length_c 12.2986
_cell_angle_alpha 31.33
_cell_angle_beta 31.33
_cell_angle_gamma 31.33
loop_
_space_group_symop_operation_xyz
'x,y,z'
loop_
_atom_site_label
_atom_site_type_symbol
_atom_site_fract_x
_atom_site_fract_y
_atom_site_fract_z
Tb1 Tb 0.0000 0.0000 0.0000
Tb2 Tb 0.0882 0.0882 0.5825
Tb3 Tb 0.0882 0.5825 0.0882
Tb4 Tb 0.4175 0.9118 0.9118
Tb5 Tb 0.5825 0.0882 0.0882
Tb6 Tb 0.9118 0.4175 0.9118
Tb7 Tb 0.9118 0.9118 0.4175
Pm1 Pm 0.1662 0.1662 0.1662
Pm2 Pm 0.3497 0.3497 0.3497
Pm3 Pm 0.4528 0.4528 0.4528
Pm4 Pm 0.5472 0.5472 0.5472
Pm5 Pm 0.6503 0.6503 0.6503
Pm6 Pm 0.8338 0.8338 0.8338
```

2.
# TbPm3
Simulated X-ray powder pattern, Cu Kα. Input: a cell relaxed with PBE.
Peak positions follow from Bragg's law for the DFT cell and can differ from measured ones.

Peak list (4 most intense, 2θ from 5° to 70°, in order of rising 2θ)
two_theta, I (rel.)
31.00, 100
44.41, 19
55.15, 39
64.62, 12

Structure:
```
data_TbPm3
_chemical_formula_sum 'Tb1 Pm3'
_space_group_name_H-M_alt 'P 1'
_space_group_IT_number 1
_cell_length_a 5.7694
_cell_length_b 5.7694
_cell_length_c 5.7694
_cell_angle_alpha 60.00
_cell_angle_beta 60.00
_cell_angle_gamma 60.00
loop_
_space_group_symop_operation_xyz
'x,y,z'
loop_
_atom_site_label
_atom_site_type_symbol
_atom_site_fract_x
_atom_site_fract_y
_atom_site_fract_z
Tb1 Tb 0.0000 0.0000 0.0000
Pm1 Pm 0.2500 0.2500 0.2500
Pm2 Pm 0.5000 0.5000 0.5000
Pm3 Pm 0.7500 0.7500 0.7500
```

3.
# Tb5Pm2
Simulated X-ray powder pattern, Cu Kα. Input: a cell relaxed with PBE.
Peak positions follow from Bragg's law for the DFT cell and can differ from measured ones.

Peak list (10 most intense, 2θ from 5° to 70°, in order of rising 2θ)
two_theta, I (rel.)
31.22, 87
31.44, 100
34.32, 7
38.48, 4
44.89, 32
55.41, 10
55.83, 34
55.97, 22
65.11, 6
65.61, 21

Structure:
```
data_Tb5Pm2
_chemical_formula_sum 'Tb5 Pm2'
_space_group_name_H-M_alt 'P 1'
_space_group_IT_number 1
_cell_length_a 8.8497
_cell_length_b 8.8497
_cell_length_c 8.8497
_cell_angle_alpha 37.51
_cell_angle_beta 37.51
_cell_angle_gamma 37.51
loop_
_space_group_symop_operation_xyz
'x,y,z'
loop_
_atom_site_label
_atom_site_type_symbol
_atom_site_fract_x
_atom_site_fract_y
_atom_site_fract_z
Tb1 Tb 0.0000 0.0000 0.0000
Tb2 Tb 0.2759 0.2759 0.2759
Tb3 Tb 0.4166 0.4166 0.4166
Tb4 Tb 0.5834 0.5834 0.5834
Tb5 Tb 0.7241 0.7241 0.7241
Pm1 Pm 0.1363 0.1363 0.1363
Pm2 Pm 0.8637 0.8637 0.8637
```

4.
# Tb2Pm7
Simulated X-ray powder pattern, Cu Kα. Input: a cell relaxed with PBE.
Peak positions follow from Bragg's law for the DFT cell and can differ from measured ones.

Peak list (10 most intense, 2θ from 5° to 70°, in order of rising 2θ)
two_theta, I (rel.)
30.87, 73
31.19, 100
32.62, 24
37.43, 18
44.46, 23
51.25, 9
53.04, 18
55.31, 21
55.51, 16
61.23, 29

Structure:
```
data_Tb2Pm7
_chemical_formula_sum 'Tb2 Pm7'
_space_group_name_H-M_alt 'P 1'
_space_group_IT_number 1
_cell_length_a 9.9333
_cell_length_b 9.9333
_cell_length_c 3.5651
_cell_angle_alpha 90.00
_cell_angle_beta 90.00
_cell_angle_gamma 120.00
loop_
_space_group_symop_operation_xyz
'x,y,z'
loop_
_atom_site_label
_atom_site_type_symbol
_atom_site_fract_x
_atom_site_fract_y
_atom_site_fract_z
Tb1 Tb 0.3333 0.6667 0.0000
Tb2 Tb 0.6667 0.3333 0.0000
Pm1 Pm 0.0000 0.0000 0.5000
Pm2 Pm 0.0000 0.3084 0.0000
Pm3 Pm 0.0000 0.6407 0.5000
Pm4 Pm 0.3084 0.0000 0.0000
Pm5 Pm 0.3593 0.3593 0.5000
Pm6 Pm 0.6407 0.0000 0.5000
Pm7 Pm 0.6916 0.6916 0.0000
```

5.
# Tb4Pm3
Simulated X-ray powder pattern, Cu Kα. Input: a cell relaxed with PBE.
Peak positions follow from Bragg's law for the DFT cell and can differ from measured ones.

Peak list (5 most intense, 2θ from 5° to 70°, in order of rising 2θ)
two_theta, I (rel.)
30.41, 100
35.25, 51
50.71, 36
60.29, 43
63.27, 12

Structure:
```
data_Tb4Pm3
_chemical_formula_sum 'Tb4 Pm3'
_space_group_name_H-M_alt 'P 1'
_space_group_IT_number 1
_cell_length_a 18.0099
_cell_length_b 18.0099
_cell_length_c 18.0099
_cell_angle_alpha 168.53
_cell_angle_beta 168.53
_cell_angle_gamma 16.25
loop_
_space_group_symop_operation_xyz
'x,y,z'
loop_
_atom_site_label
_atom_site_type_symbol
_atom_site_fract_x
_atom_site_fract_y
_atom_site_fract_z
Tb1 Tb 0.0716 0.0716 0.0000
Tb2 Tb 0.3584 0.3584 0.0000
Tb3 Tb 0.6416 0.6416 0.0000
Tb4 Tb 0.9284 0.9284 0.0000
Pm1 Pm 0.2133 0.2133 0.0000
Pm2 Pm 0.5000 0.5000 0.0000
Pm3 Pm 0.7867 0.7867 0.0000
```

6.
# Tb3Pm7
Simulated X-ray powder pattern, Cu Kα. Input: a cell relaxed with PBE.
Peak positions follow from Bragg's law for the DFT cell and can differ from measured ones.

Peak list (8 most intense, 2θ from 5° to 70°, in order of rising 2θ)
two_theta, I (rel.)
30.21, 100
35.03, 51
50.36, 30
50.44, 6
59.86, 36
59.93, 7
62.77, 6
62.88, 6

Structure:
```
data_Tb3Pm7
_chemical_formula_sum 'Tb3 Pm7'
_space_group_name_H-M_alt 'P 1'
_space_group_IT_number 1
_cell_length_a 9.5767
_cell_length_b 9.5767
_cell_length_c 7.2548
_cell_angle_alpha 100.95
_cell_angle_beta 100.95
_cell_angle_gamma 31.03
loop_
_space_group_symop_operation_xyz
'x,y,z'
loop_
_atom_site_label
_atom_site_type_symbol
_atom_site_fract_x
_atom_site_fract_y
_atom_site_fract_z
Tb1 Tb 0.0000 0.0000 0.0000
Tb2 Tb 0.2008 0.2008 0.6002
Tb3 Tb 0.7992 0.7992 0.3998
Pm1 Pm 0.0000 0.0000 0.5000
Pm2 Pm 0.2002 0.2002 0.1004
Pm3 Pm 0.4002 0.4002 0.2006
Pm4 Pm 0.3997 0.3997 0.6992
Pm5 Pm 0.6003 0.6003 0.3008
Pm6 Pm 0.5998 0.5998 0.7994
Pm7 Pm 0.7998 0.7998 0.8996
```

7.
# Tb3Pm5
Simulated X-ray powder pattern, Cu Kα. Input: a cell relaxed with PBE.
Peak positions follow from Bragg's law for the DFT cell and can differ from measured ones.

Peak list (7 most intense, 2θ from 5° to 70°, in order of rising 2θ)
two_theta, I (rel.)
30.29, 100
35.08, 34
35.18, 17
50.50, 36
59.99, 29
60.12, 14
62.99, 12

Structure:
```
data_Tb3Pm5
_chemical_formula_sum 'Tb3 Pm5'
_space_group_name_H-M_alt 'P 1'
_space_group_IT_number 1
_cell_length_a 5.1023
_cell_length_b 5.1166
_cell_length_c 10.2311
_cell_angle_alpha 90.00
_cell_angle_beta 90.00
_cell_angle_gamma 90.00
loop_
_space_group_symop_operation_xyz
'x,y,z'
loop_
_atom_site_label
_atom_site_type_symbol
_atom_site_fract_x
_atom_site_fract_y
_atom_site_fract_z
Tb1 Tb 0.0000 0.0000 0.0000
Tb2 Tb 0.0000 0.5000 0.2486
Tb3 Tb 0.0000 0.5000 0.7514
Pm1 Pm 0.0000 0.0000 0.5000
Pm2 Pm 0.5000 0.0000 0.2487
Pm3 Pm 0.5000 0.0000 0.7513
Pm4 Pm 0.5000 0.5000 0.0000
Pm5 Pm 0.5000 0.5000 0.5000
```

8.
# Tb2PmTe4
Simulated X-ray powder pattern, Cu Kα. Input: a cell relaxed with PBE.
Peak positions follow from Bragg's law for the DFT cell and can differ from measured ones.

Peak list (10 most intense, 2θ from 5° to 70°, in order of rising 2θ)
two_theta, I (rel.)
21.59, 63
26.74, 63
28.51, 81
30.34, 100
37.01, 55
39.52, 29
41.70, 45
41.83, 25
42.08, 39
60.74, 29

Structure:
```
data_Tb2PmTe4
_chemical_formula_sum 'Tb4 Pm2 Te8'
_space_group_name_H-M_alt 'P 1'
_space_group_IT_number 1
_cell_length_a 7.5173
_cell_length_b 7.5173
_cell_length_c 15.0453
_cell_angle_alpha 90.00
_cell_angle_beta 90.00
_cell_angle_gamma 146.81
loop_
_space_group_symop_operation_xyz
'x,y,z'
loop_
_atom_site_label
_atom_site_type_symbol
_atom_site_fract_x
_atom_site_fract_y
_atom_site_fract_z
Tb1 Tb 0.1314 0.8686 0.5685
Tb2 Tb 0.1314 0.8686 0.9315
Tb3 Tb 0.8686 0.1314 0.0685
Tb4 Tb 0.8686 0.1314 0.4315
Pm1 Pm 0.3739 0.6261 0.7500
Pm2 Pm 0.6261 0.3739 0.2500
Te1 Te 0.0361 0.9639 0.7500
Te2 Te 0.2230 0.7770 0.1213
Te3 Te 0.2230 0.7770 0.3787
Te4 Te 0.5000 0.5000 0.0000
Te5 Te 0.5000 0.5000 0.5000
Te6 Te 0.7770 0.2230 0.6213
Te7 Te 0.7770 0.2230 0.8787
Te8 Te 0.9639 0.0361 0.2500
```